Record 1
BaSn3: simulated XRD peak list (Cu Kα X-rays), based on a GGA-PBE-relaxed structure.

Top 10 peaks for 2θ = 10–80°, sorted by position:
d = 6.344 Å, 2θ 14.0, I = 10.3
d = 3.172 Å, 2θ 28.1, I = 22.7
d = 2.834 Å, 2θ 31.6, I = 27.8
d = 2.768 Å, 2θ 32.3, I = 100.0
d = 2.113 Å, 2θ 42.8, I = 14.9
d = 1.981 Å, 2θ 45.8, I = 12.3
d = 1.831 Å, 2θ 49.8, I = 21.4
d = 1.623 Å, 2θ 56.7, I = 20.7
d = 1.538 Å, 2θ 60.2, I = 15.9
d = 1.294 Å, 2θ 73.1, I = 9.8

Structure:
```
BaSn3
1.0
7.325 0.000 0.000
-3.663 6.344 0.000
0.000 0.000 5.667
Ba Sn
2 6
direct
0.333 0.667 0.250
0.667 0.333 0.750
0.140 0.279 0.750
0.140 0.860 0.750
0.279 0.140 0.250
0.721 0.860 0.750
0.860 0.140 0.250
0.860 0.721 0.250
```


Record 2
Eu2Si3Ni: simulated XRD peak list (Cu Kα X-rays), based on a GGA-PBE-relaxed structure.

Top 10 peaks for 2θ = 10–80°, sorted by position:
d = 4.402 Å, 2θ 20.2, I = 7.7
d = 3.499 Å, 2θ 25.5, I = 34.1
d = 2.739 Å, 2θ 32.7, I = 100.0
d = 2.201 Å, 2θ 41.0, I = 12.4
d = 2.020 Å, 2θ 44.9, I = 29.4
d = 1.863 Å, 2θ 48.9, I = 11.5
d = 1.626 Å, 2θ 56.6, I = 20.4
d = 1.488 Å, 2θ 62.4, I = 21.1
d = 1.353 Å, 2θ 69.5, I = 10.3
d = 1.267 Å, 2θ 75.0, I = 17.9

Structure:
```
Eu2Si3Ni
1.0
4.040 0.000 0.000
-2.020 3.499 0.000
0.000 0.000 8.803
Eu Si Ni
2 3 1
direct
0.000 0.000 0.242
0.000 0.000 0.758
0.333 0.667 0.500
0.667 0.333 0.000
0.667 0.333 0.500
0.333 0.667 0.000
```


Record 3
RbO2: simulated XRD peak list (Cu Kα X-rays), based on a GGA-PBE-relaxed structure.

Top 10 peaks for 2θ = 10–80°, sorted by position:
d = 3.605 Å, 2θ 24.7, I = 74.1
d = 3.526 Å, 2θ 25.3, I = 53.0
d = 2.966 Å, 2θ 30.1, I = 100.0
d = 2.270 Å, 2θ 39.7, I = 60.8
d = 2.097 Å, 2θ 43.1, I = 34.5
d = 2.051 Å, 2θ 44.2, I = 40.8
d = 1.813 Å, 2θ 50.3, I = 24.3
d = 1.803 Å, 2θ 50.6, I = 28.9
d = 1.466 Å, 2θ 63.4, I = 26.7
d = 1.241 Å, 2θ 76.8, I = 16.3

Structure:
```
RbO2
1.0
-2.097 2.097 3.526
2.097 -2.097 3.526
2.097 2.097 -3.526
Rb O
1 2
direct
0.000 0.000 0.000
0.404 0.404 0.000
0.596 0.596 0.000
```


Record 4
EuH3O3: simulated XRD peak list (Cu Kα X-rays), based on a GGA-PBE-relaxed structure.

Top 10 peaks for 2θ = 10–80°, sorted by position:
d = 5.567 Å, 2θ 15.9, I = 93.6
d = 3.214 Å, 2θ 27.8, I = 70.1
d = 3.076 Å, 2θ 29.0, I = 100.0
d = 2.783 Å, 2θ 32.2, I = 17.5
d = 2.222 Å, 2θ 40.6, I = 70.2
d = 1.856 Å, 2θ 49.1, I = 25.0
d = 1.828 Å, 2θ 49.9, I = 62.8
d = 1.600 Å, 2θ 57.6, I = 19.7
d = 1.424 Å, 2θ 65.5, I = 20.3
d = 1.207 Å, 2θ 79.4, I = 18.2

Structure:
```
EuH3O3
1.0
6.428 0.000 0.000
-3.214 5.567 0.000
0.000 0.000 3.691
Eu H O
2 6 6
direct
0.333 0.667 0.250
0.667 0.333 0.750
0.136 0.859 0.750
0.141 0.277 0.750
0.277 0.136 0.250
0.723 0.864 0.750
0.859 0.723 0.250
0.864 0.141 0.250
0.084 0.391 0.750
0.308 0.916 0.750
0.391 0.308 0.250
0.609 0.692 0.750
0.692 0.084 0.250
0.916 0.609 0.250
```